1.
Starting from a cell relaxed with PBE, the powder XRD pattern of RbBaPtO3 was simulated for copper Kα.
Lines closer than 0.1° are merged.

```
data_RbBaPtO3
_symmetry_space_group_name_H-M 'C 1 2/m 1'
_symmetry_Int_Tables_number 12
_cell_length_a 14.352
_cell_length_b 4.005
_cell_length_c 8.435
_cell_angle_alpha 90.00
_cell_angle_beta 106.90
_cell_angle_gamma 90.00
loop_
_symmetry_equiv_pos_as_xyz
'x,y,z'
'-x,-y,-z'
'-x,y,-z'
'x,-y,z'
'x+1/2,y+1/2,z'
'-x+1/2,-y+1/2,-z'
'-x+1/2,y+1/2,-z'
'x+1/2,-y+1/2,z'
loop_
_atom_site_label
_atom_site_type_symbol
_atom_site_fract_x
_atom_site_fract_y
_atom_site_fract_z
Rb1 Rb 0.143 0.000 0.066
Ba1 Ba 0.153 0.000 0.584
Pt1 Pt 0.005 0.500 0.268
O1 O 0.005 0.000 0.307
O2 O 0.140 0.500 0.802
O3 O 0.151 0.500 0.348
```

The 10 most intense peaks (10° ≤ 2θ ≤ 90°), in order of rising 2θ:
two_theta  I/Imax
12.89  38
28.78  92
29.64  74
30.79  100
39.37  24
42.88  20
45.29  20
50.73  17
50.86  20
54.55  31

---

2.
Starting from a cell relaxed with PBE, the powder XRD pattern of PrCu9Ge2 was simulated for copper Kα.
Lines closer than 0.1° are merged.

```
data_PrCu9Ge2
_symmetry_space_group_name_H-M 'R -3 m'
_symmetry_Int_Tables_number 166
_symmetry_space_group_name_Hall '-R 3 2"'
_cell_length_a 5.0929
_cell_length_b 5.0929
_cell_length_c 23.6447
_cell_angle_alpha 90.00
_cell_angle_beta 90.00
_cell_angle_gamma 120.00
loop_
_atom_site_label
_atom_site_type_symbol
_atom_site_fract_x
_atom_site_fract_y
_atom_site_fract_z
Pr1 Pr 0.0000 0.0000 0.0000
Cu1 Cu 0.0000 0.0000 0.3348
Cu2 Cu 0.0000 0.0000 0.5000
Cu3 Cu 0.0072 0.5036 0.9132
Ge1 Ge 0.0000 0.0000 0.1459
```

The 10 most intense peaks (10° ≤ 2θ ≤ 90°), in order of rising 2θ:
two_theta  I/Imax
33.41  16
35.24  31
36.60  17
41.11  31
41.66  13
42.26  100
45.38  17
46.06  21
68.07  23
74.53  20

---

3.
Starting from a cell relaxed with PBE, the powder XRD pattern of CsTl2B was simulated for copper Kα.
Lines closer than 0.1° are merged.

```
data_CsTl2B
_symmetry_space_group_name_H-M 'I 41/a m d'
_symmetry_Int_Tables_number 141
_cell_length_a 7.468
_cell_length_b 7.468
_cell_length_c 10.417
_cell_angle_alpha 90.00
_cell_angle_beta 90.00
_cell_angle_gamma 90.00
loop_
_symmetry_equiv_pos_as_xyz
'x,y,z'
'-x,-y,-z'
'-y+1/4,x+3/4,z+1/4'
'y+1/4,-x+3/4,-z+1/4'
'-x+1/2,-y,z+1/2'
'x+1/2,y,-z+1/2'
'y+1/4,-x+1/4,z+3/4'
'-y+1/4,x+1/4,-z+3/4'
'x,-y,-z'
'-x,y,z'
'-y+1/4,-x+1/4,-z+3/4'
'y+1/4,x+1/4,z+3/4'
'-x+1/2,y,-z+1/2'
'x+1/2,-y,z+1/2'
'y+1/4,x+3/4,-z+1/4'
'-y+1/4,-x+3/4,z+1/4'
'x+1/2,y+1/2,z+1/2'
'-x+1/2,-y+1/2,-z+1/2'
'-y+3/4,x+1/4,z+3/4'
'y+3/4,-x+1/4,-z+3/4'
'-x,-y+1/2,z'
'x,y+1/2,-z'
'y+3/4,-x+3/4,z+1/4'
'-y+3/4,x+3/4,-z+1/4'
'x+1/2,-y+1/2,-z+1/2'
'-x+1/2,y+1/2,z+1/2'
'-y+3/4,-x+3/4,-z+1/4'
'y+3/4,x+3/4,z+1/4'
'-x,y+1/2,-z'
'x,-y+1/2,z'
'y+3/4,x+1/4,-z+3/4'
'-y+3/4,-x+1/4,z+3/4'
loop_
_atom_site_label
_atom_site_type_symbol
_atom_site_fract_x
_atom_site_fract_y
_atom_site_fract_z
Cs1 Cs 0.000 0.250 0.375
Tl1 Tl 0.000 0.000 0.000
B1 B 0.000 0.250 0.875
```

The 10 most intense peaks (10° ≤ 2θ ≤ 90°), in order of rising 2θ:
two_theta  I/Imax
14.59  36
24.00  18
28.06  100
28.34  49
29.43  86
44.60  29
44.80  14
48.78  20
49.14  38
58.00  26